Ac2La6TcN: theoretical XRD peak list (λ = 1.5418 Å (Cu Kα)), based on a DFT-relaxed cell (GGA-PBE, Alexandria).
Intensities are scaled so that the largest is 100.

Cell: 7.6621 7.6621 7.6621 Å, 112.97 96.25 120.06°
Fractional coordinates of all 10 atoms:
Ac 0.2002 0.0000 0.2002
Ac 0.7998 0.0000 0.7998
La 0.2265 0.5239 0.2974
La 0.2265 0.9291 0.7026
La 0.2265 0.4791 0.7474
La 0.7260 0.0132 0.2872
La 0.7260 0.4388 0.7128
La 0.7317 0.4791 0.2526
Tc 0.3688 0.3688 0.0000
N 0.9554 0.4554 0.5000

The 10 most intense peaks (10 to 90 degrees two-theta), in order of rising 2θ:
27.36 deg, 3.260 Å, intensity 86.6; 29.14 deg, 3.064 Å, intensity 100.0; 31.52 deg, 2.838 Å, intensity 89.5; 32.94 deg, 2.719 Å, intensity 20.4; 35.09 deg, 2.557 Å, intensity 26.9; 35.80 deg, 2.508 Å, intensity 16.4; 47.88 deg, 1.900 Å, intensity 32.2; 48.14 deg, 1.890 Å, intensity 22.3; 52.57 deg, 1.741 Å, intensity 23.5; 55.69 deg, 1.650 Å, intensity 33.2


AcLaTeN: theoretical XRD peak list (λ = 1.5418 Å (Cu Kα)), based on a DFT-relaxed cell (GGA-PBE, Alexandria).
Intensities are scaled so that the largest is 100.

Cell: 7.5024 7.5024 7.5024 Å, 148.90 148.17 45.09°
Fractional coordinates of all 4 atoms:
Ac 0.0000 0.0000 0.0000
La 0.3020 0.3020 0.0000
Te 0.6553 0.6553 0.0000
N 0.3965 0.8965 0.5000

The 10 most intense peaks (10 to 90 degrees two-theta), in order of rising 2θ:
29.06 deg, 3.072 Å, intensity 100.0; 29.45 deg, 3.033 Å, intensity 94.8; 31.10 deg, 2.876 Å, intensity 83.2; 39.00 deg, 2.310 Å, intensity 17.6; 44.02 deg, 2.057 Å, intensity 18.0; 45.08 deg, 2.011 Å, intensity 16.8; 50.69 deg, 1.801 Å, intensity 37.2; 53.85 deg, 1.703 Å, intensity 35.6; 54.54 deg, 1.683 Å, intensity 34.7; 64.84 deg, 1.438 Å, intensity 17.6


Ac3La4TiN8: theoretical XRD peak list (λ = 1.5418 Å (Cu Kα)), based on a DFT-relaxed cell (GGA-PBE, Alexandria).
Intensities are scaled so that the largest is 100.

Cell: 7.4906 7.4906 7.3851 Å, 119.47 119.47 59.48°
Fractional coordinates of all 16 atoms:
Ac 0.0000 0.0000 0.0000
Ac 0.0000 0.5000 0.0000
Ac 0.5000 0.0000 0.0000
La 0.0000 0.0000 0.5000
La 0.0000 0.5000 0.5000
La 0.5000 0.0000 0.5000
La 0.5000 0.5000 0.5000
Ti 0.5000 0.5000 0.0000
N 0.2252 0.2252 0.7183
N 0.2544 0.2544 0.2632
N 0.2898 0.7061 0.7851
N 0.2939 0.7102 0.2149
N 0.7061 0.2898 0.7851
N 0.7102 0.2939 0.2149
N 0.7456 0.7456 0.7368
N 0.7748 0.7748 0.2817

The 10 most intense peaks (10 to 90 degrees two-theta), in order of rising 2θ:
14.53 deg, 6.094 Å, intensity 18.8; 29.25 deg, 3.054 Å, intensity 100.0; 29.37 deg, 3.041 Å, intensity 98.7; 33.44 deg, 2.680 Å, intensity 49.5; 34.23 deg, 2.619 Å, intensity 91.8; 48.61 deg, 1.873 Å, intensity 67.0; 57.23 deg, 1.610 Å, intensity 25.2; 58.19 deg, 1.585 Å, intensity 31.6; 58.41 deg, 1.580 Å, intensity 31.1; 60.65 deg, 1.527 Å, intensity 16.8


AcLaWN4: theoretical XRD peak list (λ = 1.5418 Å (Cu Kα)), based on a DFT-relaxed cell (GGA-PBE, Alexandria).
Intensities are scaled so that the largest is 100.

Cell: 7.1096 7.1096 5.7002 Å, 90.00 90.00 132.82°
Fractional coordinates of all 14 atoms:
Ac 0.1057 0.8943 0.7500
Ac 0.8943 0.1057 0.2500
La 0.3959 0.6041 0.7500
La 0.6041 0.3959 0.2500
W 0.2472 0.7528 0.2500
W 0.7528 0.2472 0.7500
N 0.0000 0.5000 0.0000
N 0.0000 0.5000 0.5000
N 0.0924 0.9076 0.2500
N 0.4151 0.5849 0.2500
N 0.5000 0.0000 0.0000
N 0.5000 0.0000 0.5000
N 0.5849 0.4151 0.7500
N 0.9076 0.0924 0.7500

The 10 most intense peaks (10 to 90 degrees two-theta), in order of rising 2θ:
13.59 deg, 6.515 Å, intensity 8.8; 30.26 deg, 2.953 Å, intensity 100.0; 31.41 deg, 2.848 Å, intensity 57.1; 41.26 deg, 2.188 Å, intensity 11.5; 41.58 deg, 2.172 Å, intensity 10.4; 45.02 deg, 2.014 Å, intensity 25.5; 53.03 deg, 1.727 Å, intensity 16.5; 55.21 deg, 1.664 Å, intensity 38.8; 62.95 deg, 1.477 Å, intensity 11.8; 74.51 deg, 1.274 Å, intensity 9.8


Na4AcLa: theoretical XRD peak list (λ = 1.5418 Å (Cu Kα)), based on a DFT-relaxed cell (GGA-PBE, Alexandria).
Intensities are scaled so that the largest is 100.

Cell: 6.7827 6.7827 6.7827 Å, 60.00 60.00 60.00°
Fractional coordinates of all 6 atoms:
Na 0.1254 0.1254 0.1254
Na 0.1254 0.1254 0.6237
Na 0.1254 0.6237 0.1254
Na 0.6237 0.1254 0.1254
Ac 0.7500 0.7500 0.7500
La 0.5000 0.5000 0.5000

The 10 most intense peaks (10 to 90 degrees two-theta), in order of rising 2θ:
16.00 deg, 5.538 Å, intensity 73.3; 26.28 deg, 3.391 Å, intensity 100.0; 30.92 deg, 2.892 Å, intensity 98.4; 41.01 deg, 2.201 Å, intensity 22.1; 46.37 deg, 1.958 Å, intensity 43.9; 49.37 deg, 1.846 Å, intensity 35.8; 54.08 deg, 1.696 Å, intensity 22.2; 61.10 deg, 1.517 Å, intensity 19.5; 73.95 deg, 1.282 Å, intensity 22.3; 76.24 deg, 1.249 Å, intensity 22.0


NaAcLa2: theoretical XRD peak list (λ = 1.5418 Å (Cu Kα)), based on a DFT-relaxed cell (GGA-PBE, Alexandria).
Intensities are scaled so that the largest is 100.

Cell: 12.9392 12.9392 12.9392 Å, 16.84 16.84 16.84°
Fractional coordinates of all 4 atoms:
Na 0.0000 0.0000 0.0000
Ac 0.1667 0.1667 0.1667
La 0.4179 0.4179 0.4179
La 0.5822 0.5822 0.5822

The 10 most intense peaks (10 to 90 degrees two-theta), in order of rising 2θ:
27.27 deg, 3.270 Å, intensity 33.9; 27.58 deg, 3.235 Å, intensity 27.5; 27.99 deg, 3.188 Å, intensity 60.4; 28.76 deg, 3.104 Å, intensity 51.9; 29.62 deg, 3.016 Å, intensity 100.0; 31.80 deg, 2.814 Å, intensity 87.5; 33.10 deg, 2.706 Å, intensity 40.4; 48.01 deg, 1.895 Å, intensity 41.8; 49.08 deg, 1.856 Å, intensity 23.5; 56.50 deg, 1.629 Å, intensity 51.4